This entry pairs a crystal structure of Th3BiC2 with its computed X-ray diffraction stick pattern. Radiation: a wavelength of 1.5418 Å. Structure: a crystal structure in Alexandria, relaxed with PBE.
Kinematic intensities with the Lorentz-polarization factor, no thermal factor.

Unit cell a=7.359 b=7.359 c=10.114 alpha=90.00 beta=90.00 gamma=147.16
Positions (direct):
1 Th 0.057 0.943 0.750
2 Th 0.384 0.616 0.558
3 Th 0.384 0.616 0.942
4 Th 0.616 0.384 0.058
5 Th 0.616 0.384 0.442
6 Th 0.943 0.057 0.250
7 Bi 0.252 0.748 0.250
8 Bi 0.748 0.252 0.750
9 C 0.000 0.000 0.000
10 C 0.000 0.000 0.500
11 C 0.473 0.527 0.750
12 C 0.527 0.473 0.250

The 6 most intense peaks (15 to 90 degrees two-theta), in order of rising 2θ:
2θ/deg, I/Imax
28.49, 72.7
29.36, 53.3
30.00, 100.0
30.89, 49.4
34.84, 35.6
54.04, 39.8